No. 1
PmFe2F11: computed XRD peak list (copper Kα), based on a structure optimized by DFT (GGA+U).
No peak broadening, texture or thermal motion is included.

Top 8 peaks for 15° ≤ 2θ ≤ 90°, sorted by position:
| 2theta | I_rel |
| --- | --- |
| 22.36 | 100 |
| 24.39 | 35 |
| 26.68 | 67 |
| 32.49 | 26 |
| 45.63 | 34 |
| 46.61 | 17 |
| 47.59 | 29 |
| 48.09 | 31 |

Structural model:
a b c (Å): 8.066 8.066 8.066
angles (deg): 114.60 114.60 99.64
Fractional coordinates of all 28 atoms:
1 Pm 0.250 0.250 0.000
2 Pm 0.750 0.750 0.000
3 Fe 0.164 0.664 0.827
4 Fe 0.336 0.164 0.500
5 Fe 0.664 0.836 0.500
6 Fe 0.836 0.336 0.173
7 F 0.000 0.500 0.500
8 F 0.072 0.354 0.165
9 F 0.093 0.928 0.282
10 F 0.146 0.428 0.835
11 F 0.189 0.907 0.835
12 F 0.192 0.308 0.500
13 F 0.308 0.808 0.117
14 F 0.311 0.146 0.718
15 F 0.354 0.189 0.282
16 F 0.407 0.689 0.835
17 F 0.428 0.593 0.282
18 F 0.500 0.000 0.500
19 F 0.572 0.407 0.718
20 F 0.593 0.311 0.165
21 F 0.646 0.811 0.718
22 F 0.689 0.854 0.282
23 F 0.692 0.192 0.883
24 F 0.808 0.692 0.500
25 F 0.811 0.093 0.165
26 F 0.854 0.572 0.165
27 F 0.907 0.072 0.718
28 F 0.928 0.646 0.835

***

No. 2
PuFeF5: computed XRD peak list (copper Kα), based on a structure optimized by DFT (GGA+U).
No peak broadening, texture or thermal motion is included.

Top 8 peaks for 15° ≤ 2θ ≤ 90°, sorted by position:
| 2theta | I_rel |
| --- | --- |
| 16.54 | 56 |
| 20.92 | 67 |
| 24.71 | 21 |
| 25.83 | 100 |
| 33.47 | 54 |
| 36.02 | 18 |
| 45.55 | 26 |
| 50.47 | 32 |

Structural model:
a b c (Å): 5.821 5.821 7.958
angles (deg): 109.90 109.90 72.78
Fractional coordinates of all 14 atoms:
1 Pu 0.047 0.953 0.750
2 Pu 0.953 0.047 0.250
3 Fe 0.500 0.500 0.000
4 Fe 0.500 0.500 0.500
5 F 0.178 0.800 0.029
6 F 0.200 0.822 0.471
7 F 0.240 0.287 0.376
8 F 0.287 0.240 0.876
9 F 0.394 0.606 0.750
10 F 0.606 0.394 0.250
11 F 0.713 0.760 0.124
12 F 0.760 0.713 0.624
13 F 0.800 0.178 0.529
14 F 0.822 0.200 0.971

***

No. 3
RbFe3F9: computed XRD peak list (copper Kα), based on a structure optimized by DFT (GGA+U).
No peak broadening, texture or thermal motion is included.

Top 8 peaks for 15° ≤ 2θ ≤ 90°, sorted by position:
| 2theta | I_rel |
| --- | --- |
| 26.27 | 53 |
| 27.07 | 100 |
| 32.66 | 35 |
| 45.86 | 19 |
| 47.35 | 17 |
| 47.83 | 36 |
| 54.07 | 26 |
| 68.43 | 21 |

Structural model:
a b c (Å): 7.606 7.606 3.957
angles (deg): 90.00 90.00 120.00
Fractional coordinates of all 13 atoms:
1 Rb 0.000 0.000 0.000
2 Fe 0.000 0.500 0.500
3 Fe 0.500 0.000 0.500
4 Fe 0.500 0.500 0.500
5 F 0.000 0.500 0.000
6 F 0.204 0.408 0.500
7 F 0.204 0.796 0.500
8 F 0.408 0.204 0.500
9 F 0.500 0.000 0.000
10 F 0.500 0.500 0.000
11 F 0.592 0.796 0.500
12 F 0.796 0.204 0.500
13 F 0.796 0.592 0.500

***

No. 4
Rb2Fe3F9: computed XRD peak list (copper Kα), based on a structure optimized by DFT (GGA+U).
No peak broadening, texture or thermal motion is included.

Top 8 peaks for 15° ≤ 2θ ≤ 90°, sorted by position:
| 2theta | I_rel |
| --- | --- |
| 20.38 | 29 |
| 24.90 | 29 |
| 26.74 | 100 |
| 27.89 | 23 |
| 28.52 | 30 |
| 35.73 | 35 |
| 46.07 | 25 |
| 46.33 | 16 |

Structural model:
a b c (Å): 7.842 7.842 8.540
angles (deg): 103.43 103.43 105.94
Fractional coordinates of all 28 atoms:
1 Rb 0.218 0.233 0.259
2 Rb 0.233 0.218 0.759
3 Rb 0.767 0.782 0.241
4 Rb 0.782 0.767 0.741
5 Fe 0.000 0.500 0.000
6 Fe 0.161 0.674 0.506
7 Fe 0.326 0.839 0.994
8 Fe 0.500 0.000 0.500
9 Fe 0.674 0.161 0.006
10 Fe 0.839 0.326 0.494
11 F 0.047 0.770 0.036
12 F 0.106 0.553 0.245
13 F 0.129 0.411 0.538
14 F 0.189 0.811 0.750
15 F 0.230 0.953 0.464
16 F 0.251 0.550 0.979
17 F 0.411 0.129 0.038
18 F 0.447 0.894 0.255
19 F 0.450 0.749 0.521
20 F 0.550 0.251 0.479
21 F 0.553 0.106 0.745
22 F 0.589 0.871 0.962
23 F 0.749 0.450 0.021
24 F 0.770 0.047 0.536
25 F 0.811 0.189 0.250
26 F 0.871 0.589 0.462
27 F 0.894 0.447 0.755
28 F 0.953 0.230 0.964

***

No. 5
Rb3TlFe2F9: computed XRD peak list (copper Kα), based on a structure optimized by DFT (GGA+U).
No peak broadening, texture or thermal motion is included.

Top 8 peaks for 15° ≤ 2θ ≤ 90°, sorted by position:
| 2theta | I_rel |
| --- | --- |
| 16.66 | 17 |
| 19.82 | 31 |
| 27.25 | 100 |
| 29.07 | 78 |
| 40.27 | 67 |
| 47.00 | 18 |
| 50.43 | 33 |
| 60.26 | 18 |

Structural model:
a b c (Å): 6.143 6.143 8.300
angles (deg): 90.00 90.00 120.00
Fractional coordinates of all 15 atoms:
1 Rb 0.000 0.000 0.000
2 Rb 0.333 0.667 0.702
3 Rb 0.667 0.333 0.298
4 Tl 0.000 0.000 0.500
5 Fe 0.333 0.667 0.144
6 Fe 0.667 0.333 0.856
7 F 0.000 0.500 0.000
8 F 0.179 0.357 0.273
9 F 0.179 0.821 0.273
10 F 0.357 0.179 0.727
11 F 0.500 0.000 0.000
12 F 0.500 0.500 0.000
13 F 0.643 0.821 0.273
14 F 0.821 0.179 0.727
15 F 0.821 0.643 0.727

***

No. 6
RbTlFeF6: computed XRD peak list (copper Kα), based on a structure optimized by DFT (GGA+U).
No peak broadening, texture or thermal motion is included.

Top 8 peaks for 15° ≤ 2θ ≤ 90°, sorted by position:
| 2theta | I_rel |
| --- | --- |
| 15.16 | 41 |
| 19.05 | 41 |
| 23.20 | 100 |
| 30.49 | 42 |
| 34.21 | 23 |
| 38.66 | 22 |
| 43.73 | 57 |
| 50.01 | 24 |

Structural model:
a b c (Å): 5.864 5.864 11.691
angles (deg): 90.00 90.00 120.00
Fractional coordinates of all 18 atoms:
1 Rb 0.000 0.000 0.000
2 Rb 0.000 0.000 0.500
3 Tl 0.333 0.667 0.250
4 Tl 0.667 0.333 0.750
5 Fe 0.333 0.667 0.750
6 Fe 0.667 0.333 0.250
7 F 0.014 0.387 0.652
8 F 0.014 0.627 0.848
9 F 0.373 0.387 0.848
10 F 0.373 0.986 0.652
11 F 0.387 0.014 0.152
12 F 0.387 0.373 0.348
13 F 0.613 0.627 0.652
14 F 0.613 0.986 0.848
15 F 0.627 0.014 0.348
16 F 0.627 0.613 0.152
17 F 0.986 0.373 0.152
18 F 0.986 0.613 0.348

***

No. 7
RbVFeF6: computed XRD peak list (copper Kα), based on a structure optimized by DFT (GGA+U).
No peak broadening, texture or thermal motion is included.

Top 8 peaks for 15° ≤ 2θ ≤ 90°, sorted by position:
| 2theta | I_rel |
| --- | --- |
| 23.78 | 50 |
| 23.93 | 100 |
| 32.98 | 19 |
| 44.40 | 18 |
| 44.69 | 17 |
| 44.77 | 17 |
| 44.88 | 17 |
| 58.56 | 13 |

Structural model:
a b c (Å): 5.429 5.437 6.078
angles (deg): 90.10 90.28 119.49
Fractional coordinates of all 9 atoms:
1 Rb 0.000 0.000 0.000
2 V 0.333 0.668 0.500
3 Fe 0.667 0.333 0.500
4 F 0.011 0.622 0.316
5 F 0.013 0.381 0.679
6 F 0.378 0.388 0.316
7 F 0.379 0.988 0.683
8 F 0.614 0.623 0.682
9 F 0.618 0.988 0.320

***

No. 8
Rb2FeWF6: computed XRD peak list (copper Kα), based on a structure optimized by DFT (GGA+U).
No peak broadening, texture or thermal motion is included.

Top 8 peaks for 15° ≤ 2θ ≤ 90°, sorted by position:
| 2theta | I_rel |
| --- | --- |
| 17.14 | 38 |
| 27.76 | 53 |
| 28.37 | 100 |
| 39.66 | 40 |
| 41.42 | 18 |
| 49.48 | 43 |
| 50.59 | 20 |
| 58.69 | 24 |

Structural model:
a b c (Å): 6.298 6.298 6.298
angles (deg): 118.64 118.64 92.38
Fractional coordinates of all 10 atoms:
1 Rb 0.250 0.750 0.500
2 Rb 0.750 0.250 0.500
3 Fe 0.000 0.000 0.000
4 W 0.500 0.500 0.000
5 F 0.251 0.251 0.000
6 F 0.264 0.264 0.528
7 F 0.264 0.736 0.000
8 F 0.736 0.264 0.000
9 F 0.736 0.736 0.472
10 F 0.749 0.749 0.000

***

No. 9
Fe4RhF12: computed XRD peak list (copper Kα), based on a structure optimized by DFT (GGA+U).
No peak broadening, texture or thermal motion is included.

Top 8 peaks for 15° ≤ 2θ ≤ 90°, sorted by position:
| 2theta | I_rel |
| --- | --- |
| 15.87 | 100 |
| 16.28 | 47 |
| 21.92 | 33 |
| 31.99 | 50 |
| 32.12 | 50 |
| 32.89 | 37 |
| 35.19 | 37 |
| 44.70 | 31 |

Structural model:
a b c (Å): 6.790 6.790 6.790
angles (deg): 111.19 110.60 106.67
Fractional coordinates of all 17 atoms:
1 Fe 0.000 0.000 0.500
2 Fe 0.000 0.500 0.000
3 Fe 0.500 0.000 0.000
4 Fe 0.500 0.500 0.500
5 Rh 0.000 0.000 0.000
6 F 0.004 0.712 0.292
7 F 0.191 0.188 0.379
8 F 0.191 0.812 0.003
9 F 0.292 0.081 0.789
10 F 0.292 0.503 0.211
11 F 0.420 0.712 0.708
12 F 0.580 0.288 0.292
13 F 0.708 0.497 0.789
14 F 0.708 0.919 0.211
15 F 0.809 0.188 0.997
16 F 0.809 0.812 0.621
17 F 0.996 0.288 0.708

***

No. 10
FeRu2F11: computed XRD peak list (copper Kα), based on a structure optimized by DFT (GGA+U).
No peak broadening, texture or thermal motion is included.

Top 8 peaks for 15° ≤ 2θ ≤ 90°, sorted by position:
| 2theta | I_rel |
| --- | --- |
| 17.35 | 54 |
| 22.45 | 64 |
| 23.52 | 100 |
| 24.65 | 44 |
| 27.31 | 37 |
| 45.83 | 23 |
| 47.02 | 40 |
| 49.03 | 20 |

Structural model:
a b c (Å): 8.103 8.103 8.103
angles (deg): 116.83 110.13 101.81
Fractional coordinates of all 28 atoms:
1 Fe 0.250 0.250 0.000
2 Fe 0.750 0.750 0.000
3 Ru 0.149 0.678 0.827
4 Ru 0.351 0.178 0.529
5 Ru 0.649 0.822 0.471
6 Ru 0.851 0.322 0.173
7 F 0.000 0.500 0.500
8 F 0.084 0.322 0.144
9 F 0.110 0.437 0.820
10 F 0.117 0.937 0.327
11 F 0.178 0.940 0.856
12 F 0.203 0.323 0.526
13 F 0.297 0.823 0.119
14 F 0.322 0.178 0.762
15 F 0.383 0.710 0.820
16 F 0.390 0.210 0.327
17 F 0.416 0.560 0.238
18 F 0.500 0.000 0.500
19 F 0.584 0.440 0.762
20 F 0.610 0.790 0.673
21 F 0.617 0.290 0.180
22 F 0.678 0.822 0.238
23 F 0.703 0.177 0.881
24 F 0.797 0.677 0.474
25 F 0.822 0.060 0.144
26 F 0.883 0.063 0.673
27 F 0.890 0.563 0.180
28 F 0.916 0.678 0.856

***

No. 11
FeSF: computed XRD peak list (copper Kα), based on a structure optimized by DFT (GGA+U).
No peak broadening, texture or thermal motion is included.

Top 8 peaks for 15° ≤ 2θ ≤ 90°, sorted by position:
| 2theta | I_rel |
| --- | --- |
| 24.05 | 82 |
| 29.88 | 100 |
| 34.55 | 55 |
| 36.42 | 88 |
| 36.68 | 43 |
| 46.10 | 96 |
| 50.08 | 37 |
| 51.07 | 61 |

Structural model:
a b c (Å): 7.401 7.401 3.643
angles (deg): 90.00 90.00 90.00
Fractional coordinates of all 12 atoms:
1 Fe 0.192 0.237 0.000
2 Fe 0.237 0.808 0.500
3 Fe 0.763 0.192 0.500
4 Fe 0.808 0.763 0.000
5 S 0.143 0.481 0.500
6 S 0.481 0.857 0.000
7 S 0.519 0.143 0.000
8 S 0.857 0.519 0.500
9 F 0.088 0.816 0.000
10 F 0.184 0.088 0.500
11 F 0.816 0.912 0.500
12 F 0.912 0.184 0.000